[1]
For Mn6Pd5, a GGA-PBE-relaxed structure gives the calculated powder diffraction line list in this record (Cu Ka).
Lines closer than 0.1° are merged.

Cell and atoms:
Unit cell a=4.333 b=6.283 c=12.894 alpha=90.00 beta=90.00 gamma=90.00
Space group Immm (No. 71)
Inequivalent atoms, fractional coordinates:
Mn  0.000  0.230  0.000 (multiplicity 4)
Mn  0.000  0.263  0.340 (multiplicity 8)
Pd  0.000  0.000  0.176 (multiplicity 4)
Pd  0.000  0.000  0.500 (multiplicity 2)
Pd  0.000  0.500  0.163 (multiplicity 4)

The 10 most intense peaks (2θ from 10° to 90°), by intensity:
hkl	two_theta	I/Imax
1 2 3	41.24	100
2 0 0	41.69	25
0 0 6	42.04	23
3 2 3	75.79	15
2 0 6	60.70	15
1 2 9	76.28	14
2 4 6	89.56	9
0 4 0	58.79	8
0 1 1	15.69	8
2 4 0	74.63	8

[2]
For MgZr6N, a GGA-PBE-relaxed structure gives the calculated powder diffraction line list in this record (Cu Ka).
Lines closer than 0.1° are merged.

Cell and atoms:
Unit cell a=5.299 b=5.846 c=5.939 alpha=98.73 beta=112.07 gamma=90.32
Space group P-1 (No. 2)
Inequivalent atoms, fractional coordinates:
Mg  0.000  0.000  0.000 (multiplicity 1)
Zr  0.092  0.600  0.276 (multiplicity 2)
Zr  0.316  0.174  0.553 (multiplicity 2)
Zr  0.449  0.699  0.842 (multiplicity 2)
N  0.500  0.500  0.500 (multiplicity 1)

The 10 most intense peaks (2θ from 10° to 90°), by intensity:
hkl	two_theta	I/Imax
1 1 1	34.72	100
0 1 -2	34.10	99
1 2 -1	35.43	92
-1 1 2	36.68	92
2 0 -1	33.93	87
1 -2 0	35.02	83
2 -1 1	47.01	36
0 1 0	15.37	32
2 -1 0	38.98	29
2 1 -3	50.68	27

[3]
For HfAl2Fe, a GGA-PBE-relaxed structure gives the calculated powder diffraction line list in this record (Cu Ka).
Lines closer than 0.1° are merged.

Cell and atoms:
Unit cell a=14.024 b=6.929 c=5.170 alpha=90.00 beta=90.00 gamma=90.00
Space group Pnma (No. 62)
Inequivalent atoms, fractional coordinates:
Hf  0.097  0.250  0.228 (multiplicity 4)
Hf  0.138  0.750  0.450 (multiplicity 4)
Al  0.041  0.057  0.742 (multiplicity 8)
Al  0.213  0.548  0.935 (multiplicity 8)
Fe  0.073  0.750  0.989 (multiplicity 4)
Fe  0.192  0.250  0.708 (multiplicity 4)

The 10 most intense peaks (2θ from 10° to 90°), by intensity:
hkl	two_theta	I/Imax
2 1 2	39.36	100
0 2 0	25.71	89
4 2 0	36.46	51
2 2 1	33.66	41
2 3 2	54.89	35
2 0 1	21.37	33
4 0 0	25.41	31
3 2 1	36.67	28
5 1 1	38.77	27
6 1 1	44.50	21

[4]
For Ho2BeZnPt6, a GGA-PBE-relaxed structure gives the calculated powder diffraction line list in this record (Cu Ka).
Lines closer than 0.1° are merged.

Cell and atoms:
Unit cell a=5.5890 b=5.5890 c=20.4312 alpha=90.00 beta=90.00 gamma=120.00
Space group R-3m (No. 166, hexagonal axes)
Inequivalent atoms, fractional coordinates:
Ho  0.0000  0.0000  0.2072 (multiplicity 6)
Be  0.0000  0.0000  0.0000 (multiplicity 3)
Zn  0.0000  0.0000  0.5000 (multiplicity 3)
Pt  0.0051  0.5026  0.2616 (multiplicity 18)

The 10 most intense peaks (2θ from 10° to 90°), by intensity:
hkl	two_theta	I/Imax
2 0 2	38.22	100
0 2 4	41.28	80
0 0 6	26.17	45
2 2 0	66.97	29
1 1 3	34.70	21
0 1 5	28.59	20
1 0 7	35.93	19
2 0 8	52.06	17
1 1 6	41.82	17
2 2 6	73.22	15

[5]
For Sr2Li4Cd3, a GGA-PBE-relaxed structure gives the calculated powder diffraction line list in this record (Cu Ka).
Lines closer than 0.1° are merged.

Cell and atoms:
Unit cell a=5.931 b=10.757 c=15.060 alpha=90.00 beta=90.00 gamma=90.00
Space group Fmmm (No. 69)
Inequivalent atoms, fractional coordinates:
Sr  0.000  0.000  0.133 (multiplicity 8)
Li  0.000  0.175  0.336 (multiplicity 16)
Cd  0.000  0.000  0.500 (multiplicity 4)
Cd  0.250  0.250  0.000 (multiplicity 8)

The 10 most intense peaks (2θ from 10° to 90°), by intensity:
hkl	two_theta	I/Imax
0 0 2	11.75	100
1 1 3	24.66	45
2 2 0	34.54	40
2 2 2	36.60	29
1 3 3	34.25	24
0 4 0	33.32	23
0 2 4	28.95	20
0 4 2	35.45	16
2 2 8	60.77	15
2 2 6	50.58	15